1.
Theoretical X-ray powder pattern
Compound: GaCu17
Radiation: copper Kα
Structure: a crystal structure in OQMD, relaxed with GGA-PBE
Peak positions follow from Bragg's law for the DFT cell and can differ from measured ones.

Atomic structure:
```
GaCu17
1.0
4.431 0.000 0.000
0.000 5.113 0.000
-0.009 0.000 31.944
Ga Cu
2 34
Cartesian
0.736 1.278 8.444
3.686 3.835 23.500
0.000 0.000 0.000
0.000 2.557 0.000
-0.004 0.004 25.648
-0.004 2.552 25.648
0.739 1.278 2.101
0.732 1.278 27.740
0.738 3.835 2.102
0.736 3.835 8.416
0.730 3.835 27.740
1.476 5.113 4.205
1.468 5.113 29.843
1.470 0.004 23.529
1.470 2.553 23.529
1.476 2.557 4.205
1.468 2.557 29.843
2.206 1.278 25.640
2.203 3.835 25.652
2.216 1.278 0.000
2.216 3.835 0.000
2.218 1.278 6.292
2.216 3.835 6.304
2.953 0.001 2.102
2.946 0.001 27.739
2.953 2.556 2.102
2.946 2.556 27.739
2.952 2.560 8.415
2.952 5.110 8.415
3.692 1.278 4.204
3.686 1.278 23.529
3.683 1.278 29.843
3.690 3.835 4.204
3.683 3.835 29.843
4.426 2.561 6.296
4.426 5.109 6.296
```

Largest 10 diffraction maxima, low angle first, 2θ from 15° to 90°:
| two_theta | intensity |
| --- | --- |
| 42.35 | 24 |
| 42.45 | 34 |
| 43.23 | 100 |
| 44.29 | 32 |
| 45.43 | 13 |
| 48.44 | 13 |
| 50.12 | 62 |
| 51.92 | 15 |
| 74.17 | 24 |
| 89.38 | 14 |


2.
Theoretical X-ray powder pattern
Compound: KAlZnF6
Radiation: copper Kα
Structure: a crystal structure in OQMD, relaxed with GGA-PBE
Peak positions follow from Bragg's law for the DFT cell and can differ from measured ones.

Atomic structure:
```
KAlZnF6
1.0
6.986 0.000 0.000
0.000 9.494 0.000
-0.176 0.000 6.542
K Al Zn F
4 4 4 24
Cartesian
1.623 1.171 3.146
1.535 3.576 6.417
5.275 5.918 0.125
5.187 8.324 3.396
0.000 0.000 0.000
-0.088 4.747 3.271
3.493 0.000 0.000
3.405 4.747 3.271
1.622 6.892 5.346
1.710 7.349 2.075
5.099 2.145 4.467
5.187 2.602 1.196
0.091 1.660 0.692
0.003 3.087 3.963
0.280 5.411 4.893
0.368 8.830 1.622
1.719 6.137 0.586
1.631 8.104 3.857
1.574 0.094 6.085
1.662 4.653 2.814
2.990 5.376 4.908
3.077 8.865 1.637
3.380 1.681 0.634
3.292 3.066 3.905
3.518 6.428 2.637
3.430 7.813 5.908
3.732 0.629 4.905
3.820 4.118 1.634
5.148 4.841 3.728
5.236 9.400 0.457
5.179 1.390 2.685
5.091 3.357 5.956
6.441 0.664 4.920
6.529 4.083 1.649
6.807 6.407 2.579
6.719 7.834 5.850
```

Largest 10 diffraction maxima, low angle first, 2θ from 15° to 90°:
| two_theta | intensity |
| --- | --- |
| 15.75 | 100 |
| 28.87 | 29 |
| 30.19 | 28 |
| 30.82 | 25 |
| 31.02 | 33 |
| 31.36 | 59 |
| 31.82 | 31 |
| 31.95 | 29 |
| 48.58 | 37 |
| 52.41 | 27 |


3.
Theoretical X-ray powder pattern
Compound: Li6Cu
Radiation: copper Kα
Structure: a crystal structure in OQMD, relaxed with GGA-PBE
Peak positions follow from Bragg's law for the DFT cell and can differ from measured ones.

Atomic structure:
```
Li6Cu
1.0
6.238 0.000 0.000
1.821 6.035 0.000
1.919 1.449 5.850
Li Cu
12 2
Cartesian
1.517 2.829 1.739
4.040 6.711 3.713
3.268 4.935 1.396
4.618 4.469 5.246
4.015 2.708 3.217
3.364 0.857 1.003
6.615 6.626 4.847
5.963 4.775 2.634
5.360 3.014 0.604
6.710 2.548 4.454
5.939 0.772 2.138
8.462 4.654 4.111
2.810 2.386 5.650
7.168 5.097 0.200
```

Largest 10 diffraction maxima, low angle first, 2θ from 15° to 90°:
| two_theta | intensity |
| --- | --- |
| 15.14 | 100 |
| 15.27 | 50 |
| 18.68 | 24 |
| 18.83 | 40 |
| 23.80 | 24 |
| 28.32 | 29 |
| 39.11 | 38 |
| 39.24 | 17 |
| 39.49 | 17 |
| 46.14 | 16 |


4.
Theoretical X-ray powder pattern
Compound: La2NdMg3Pt2Au
Radiation: copper Kα
Structure: a crystal structure in OQMD, relaxed with GGA-PBE
Peak positions follow from Bragg's law for the DFT cell and can differ from measured ones.

Atomic structure:
```
La2NdMg3Pt2Au
1.0
4.174 0.000 0.000
0.000 6.656 3.824
0.000 -6.656 3.824
La Nd Mg Pt Au
2 1 3 2 1
Cartesian
0.000 -3.858 3.824
0.000 3.858 3.824
0.000 0.000 4.795
2.087 -1.601 2.547
2.087 1.601 2.547
2.087 0.000 7.368
2.087 -2.227 5.437
2.087 2.227 5.437
0.000 0.000 1.619
```

Largest 10 diffraction maxima, low angle first, 2θ from 15° to 90°:
| two_theta | intensity |
| --- | --- |
| 23.20 | 52 |
| 25.20 | 30 |
| 31.69 | 51 |
| 34.52 | 100 |
| 40.82 | 23 |
| 41.97 | 23 |
| 43.35 | 21 |
| 49.74 | 14 |
| 61.06 | 14 |
| 65.12 | 16 |


5.
Theoretical X-ray powder pattern
Compound: Ho5Ir
Radiation: copper Kα
Structure: a crystal structure in OQMD, relaxed with GGA-PBE
Peak positions follow from Bragg's law for the DFT cell and can differ from measured ones.

Atomic structure:
```
Ho5Ir
1.0
6.979 0.000 0.000
0.000 15.298 0.000
0.000 0.000 6.347
Ho Ir
20 4
Cartesian
0.287 2.074 1.115
0.287 5.574 1.115
0.762 11.473 2.304
1.245 0.877 4.180
1.245 6.772 4.180
2.244 8.526 1.007
2.244 14.421 1.007
2.728 3.824 5.478
3.202 9.723 4.289
3.202 13.223 4.289
3.776 2.074 2.059
3.776 5.574 2.059
4.251 11.473 0.869
4.734 0.877 5.341
4.734 6.772 5.341
5.734 8.526 2.167
5.734 14.421 2.167
6.217 3.824 4.043
6.692 9.723 5.233
6.692 13.223 5.233
1.710 3.824 2.862
1.779 11.473 6.036
5.199 3.824 0.311
5.269 11.473 3.485
```

Largest 10 diffraction maxima, low angle first, 2θ from 15° to 90°:
| two_theta | intensity |
| --- | --- |
| 19.78 | 28 |
| 30.14 | 28 |
| 31.06 | 50 |
| 31.51 | 100 |
| 32.49 | 74 |
| 33.15 | 65 |
| 34.19 | 50 |
| 34.80 | 36 |
| 35.00 | 31 |
| 41.77 | 32 |


6.
Theoretical X-ray powder pattern
Compound: Ga2Cu6P
Radiation: copper Kα
Structure: a crystal structure in OQMD, relaxed with GGA-PBE
Peak positions follow from Bragg's law for the DFT cell and can differ from measured ones.

Atomic structure:
```
Ga2Cu6P
1.0
0.000 4.015 4.015
4.015 0.000 4.015
4.015 4.015 0.000
Ga Cu P
2 6 1
Cartesian
2.007 2.007 2.007
6.022 6.022 6.022
4.015 4.015 1.778
4.015 1.778 4.015
6.251 4.015 4.015
1.778 4.015 4.015
4.015 6.251 4.015
4.015 4.015 6.251
4.015 4.015 4.015
```

Largest 10 diffraction maxima, low angle first, 2θ from 15° to 90°:
| two_theta | intensity |
| --- | --- |
| 19.15 | 4 |
| 37.14 | 4 |
| 38.85 | 100 |
| 45.17 | 58 |
| 49.48 | 12 |
| 59.85 | 11 |
| 65.79 | 31 |
| 79.12 | 25 |
| 83.40 | 9 |
| 86.58 | 6 |


7.
Theoretical X-ray powder pattern
Compound: HfSe2Cl12
Radiation: copper Kα
Structure: a crystal structure in OQMD, relaxed with GGA-PBE
Peak positions follow from Bragg's law for the DFT cell and can differ from measured ones.

Atomic structure:
```
HfSe2Cl12
1.0
0.000 6.442 10.921
5.914 0.000 10.921
5.914 6.442 0.000
Hf Se Cl
2 4 24
Cartesian
0.000 0.000 0.000
2.957 3.221 5.460
5.995 3.573 9.144
8.791 6.794 14.605
5.834 9.311 9.144
3.038 6.090 14.605
1.473 0.984 1.686
7.280 4.363 7.527
4.442 5.457 1.686
4.430 2.236 7.146
7.472 7.635 5.441
7.232 4.274 10.823
4.515 2.027 10.901
4.357 5.248 5.441
7.497 4.281 14.623
7.309 7.688 9.212
4.519 5.195 9.212
10.266 8.416 14.672
1.484 4.205 7.146
7.505 7.584 12.988
4.548 8.520 7.527
4.323 5.300 12.988
7.554 7.495 16.284
7.314 10.856 10.901
4.597 8.610 10.823
4.275 5.389 16.284
7.476 10.909 14.672
7.289 7.502 20.083
10.454 11.823 20.083
4.332 8.602 14.623
```

Largest 10 diffraction maxima, low angle first, 2θ from 15° to 90°:
| two_theta | intensity |
| --- | --- |
| 15.86 | 46 |
| 15.97 | 34 |
| 17.05 | 100 |
| 22.40 | 39 |
| 26.17 | 48 |
| 31.63 | 27 |
| 32.04 | 54 |
| 41.44 | 34 |
| 41.78 | 49 |
| 49.27 | 24 |